Diffraction record for SrCdBr4. The XRD peak list is theoretical, not measured: it uses a DFT-relaxed cell (PBE, Alexandria) and Cu Kα, 1.54184 Å.
Kinematic intensities with the Lorentz-polarization factor, no thermal factor.

Top 10 peaks for 2θ from 5° to 70°, low angle first:
2θ = 17.8°, I 100; 2θ = 22.1°, I 63; 2θ = 26.4°, I 32; 2θ = 28.5°, I 37; 2θ = 30.5°, I 19; 2θ = 34.5°, I 92; 2θ = 36.0°, I 36; 2θ = 43.2°, I 64; 2θ = 49.1°, I 18; 2θ = 55.2°, I 18

Structural model:
```
SrCdBr4
1.0
-4.996 4.996 4.591
4.996 -4.996 4.591
4.996 4.996 -4.591
Sr Cd Br
2 2 8
direct
0.375 0.625 0.750 Sr
0.625 0.375 0.250 Sr
0.125 0.875 0.250 Cd
0.875 0.125 0.750 Cd
0.111 0.674 0.437 Br
0.264 0.326 0.937 Br
0.326 0.264 0.437 Br
0.326 0.889 0.063 Br
0.674 0.111 0.937 Br
0.674 0.736 0.563 Br
0.736 0.674 0.063 Br
0.889 0.326 0.563 Br
```